# Mg3TcH8
Simulated powder diffraction line list, λ = 1.5418 Å (Cu Kα). Input: a GGA-PBE-relaxed structure.
Intensities are scaled so that the largest is 100.

The 10 most intense peaks (15° ≤ 2θ ≤ 90°), sorted by position:
2θ (°)	I (rel.)
19.53	57
27.76	46
34.17	100
39.66	44
44.58	24
49.10	19
57.34	35
61.18	12
68.47	37
71.97	10

```
12
Lattice="4.5450 0.0000 0.0000 0.0000 4.5450 0.0000 0.0000 0.0000 4.5450" Properties=species:S:1:pos:R:3 pbc="T T T"
Mg 0.0000 0.0000 2.2725
Mg 0.0000 2.2725 0.0000
Mg 2.2725 0.0000 0.0000
Tc 2.2725 2.2725 2.2725
H 1.2162 1.2162 1.2162
H 1.2162 1.2162 3.3288
H 1.2162 3.3288 1.2162
H 1.2162 3.3288 3.3288
H 3.3288 1.2162 1.2162
H 3.3288 1.2162 3.3288
H 3.3288 3.3288 1.2162
H 3.3288 3.3288 3.3288
```

=====

# Cu2HgF8
Simulated powder diffraction line list, λ = 1.5418 Å (Cu Kα). Input: a GGA-PBE-relaxed structure.
Intensities are scaled so that the largest is 100.

The 10 most intense peaks (15° ≤ 2θ ≤ 90°), sorted by position:
2θ (°)	I (rel.)
15.12	46
26.34	100
27.82	83
35.39	33
38.68	26
46.49	21
47.41	38
50.09	23
54.22	26
57.47	22

```
11
Lattice="6.7671 0.0000 0.0000 -3.3835 5.8604 0.0000 0.0000 0.0000 3.8319" Properties=species:S:1:pos:R:3 pbc="T T T"
Cu 0.0000 3.9070 0.9579
Cu 3.3835 1.9535 2.8740
Hg 0.0000 0.0000 0.0000
F -1.6303 4.8365 0.9894
F 0.0101 2.0303 0.9894
F 0.0000 3.9070 2.8750
F 1.7634 1.0064 2.8425
F 1.6202 4.8541 0.9894
F 3.3835 1.9535 0.9569
F 3.3734 3.8301 2.8425
F 5.0139 1.0239 2.8425
```

=====

# Ce8Sn2Ru
Simulated powder diffraction line list, λ = 1.5418 Å (Cu Kα). Input: a GGA-PBE-relaxed structure.
Intensities are scaled so that the largest is 100.

The 10 most intense peaks (15° ≤ 2θ ≤ 90°), sorted by position:
2θ (°)	I (rel.)
28.36	12
31.84	54
32.12	36
34.91	22
35.52	100
43.71	14
56.90	11
59.14	23
62.57	10
74.72	11

```
11
Lattice="-2.8108 3.4963 7.2240 2.8108 -3.4963 7.2240 2.8108 3.4963 -7.2240" Properties=species:S:1:pos:R:3 pbc="T T T"
Ce 0.0000 0.0000 2.0192
Ce 2.8108 2.0416 -1.7921
Ce 0.0000 1.8706 0.0000
Ce 2.8108 2.0416 1.7921
Ce 0.0000 1.4547 5.4318
Ce 0.0000 5.1219 0.0000
Ce 0.0000 1.4547 9.0161
Ce 0.0000 0.0000 12.4288
Sn 2.8108 0.0000 4.3492
Sn 0.0000 3.4963 2.8748
Ru 2.8108 0.0000 0.0000
```